1.
# BP4S3Br3
Theoretical powder diffractogram, CuKα. Input: DFT lattice parameters and positions (PBE).
Lines closer than 0.1° are merged.

Cell and atoms:
```
data_BP4S3Br3
_space_group_name_H-M_alt 'P 1 21/m 1'
_space_group_IT_number 11
_cell_length_a 6.7327
_cell_length_b 11.1334
_cell_length_c 9.0442
_cell_angle_alpha 90.00
_cell_angle_beta 109.44
_cell_angle_gamma 90.00
loop_
_space_group_symop_operation_xyz
'x,y,z'
'-x,-y,-z'
'-x,y+1/2,-z'
'x,-y+1/2,z'
loop_
_atom_site_label
_atom_site_type_symbol
_atom_site_fract_x
_atom_site_fract_y
_atom_site_fract_z
B1 B 0.1783 0.2500 0.2789
P1 P 0.1385 0.2500 0.8290
P2 P 0.2469 0.2500 0.5137
P3 P 0.4427 0.1476 0.8605
S1 S 0.0178 0.7500 0.4149
S2 S 0.4219 0.1020 0.6298
Br1 Br 0.0138 0.0994 0.2022
Br2 Br 0.4582 0.2500 0.2407
```

Principal peaks in the range 10° ≤ 2θ ≤ 90°, low angle first:
- 2θ 13.08, I 15, hkl 0 1 1
- 2θ 15.92, I 28, hkl 0 2 0
- 2θ 16.07, I 48, hkl 1 1 0
- 2θ 20.83, I 34, hkl 0 0 2
- 2θ 22.35, I 15, hkl 1 1 -2
- 2θ 28.07, I 100, hkl 1 3 -1
- 2θ 28.94, I 22, hkl 2 0 -2
- 2θ 31.44, I 63, hkl 1 3 1
- 2θ 32.51, I 26, hkl 0 1 3
- 2θ 38.65, I 14, hkl 1 3 -3

---

2.
# Pr3BBr3
Theoretical powder diffractogram, CuKα. Input: DFT lattice parameters and positions (PBE).
Lines closer than 0.1° are merged.

Cell and atoms:
```
data_Pr3BBr3
_space_group_name_H-M_alt 'I 41 3 2'
_space_group_IT_number 214
_space_group_name_Hall 'I 4bd 2c 3'
_cell_length_a 11.8076
_cell_length_b 11.8076
_cell_length_c 11.8076
_cell_angle_alpha 90.00
_cell_angle_beta 90.00
_cell_angle_gamma 90.00
loop_
_atom_site_label
_atom_site_type_symbol
_atom_site_fract_x
_atom_site_fract_y
_atom_site_fract_z
Pr1 Pr 0.1074 0.3574 0.1250
B1 B 0.1250 0.1250 0.1250
Br1 Br 0.1174 0.1326 0.6250
```

Principal peaks in the range 10° ≤ 2θ ≤ 90°, low angle first:
- 2θ 10.60, I 18, hkl 1 1 0
- 2θ 28.28, I 48, hkl 3 2 1
- 2θ 30.28, I 100, hkl 4 0 0
- 2θ 35.67, I 26, hkl 3 3 2
- 2θ 43.35, I 67, hkl 4 4 0
- 2θ 53.79, I 22, hkl 4 4 4
- 2θ 57.34, I 20, hkl 7 2 1
- 2θ 61.87, I 16, hkl 7 3 2
- 2θ 71.46, I 23, hkl 8 4 0
- 2θ 79.54, I 16, hkl 8 4 4

---

3.
# Tb3BBr3
Theoretical powder diffractogram, CuKα. Input: DFT lattice parameters and positions (PBE).
Lines closer than 0.1° are merged.

Cell and atoms:
```
data_Tb3BBr3
_space_group_name_H-M_alt 'I 41 3 2'
_space_group_IT_number 214
_space_group_name_Hall 'I 4bd 2c 3'
_cell_length_a 11.3331
_cell_length_b 11.3331
_cell_length_c 11.3331
_cell_angle_alpha 90.00
_cell_angle_beta 90.00
_cell_angle_gamma 90.00
loop_
_atom_site_label
_atom_site_type_symbol
_atom_site_fract_x
_atom_site_fract_y
_atom_site_fract_z
Tb1 Tb 0.1054 0.3554 0.1250
B1 B 0.1250 0.1250 0.1250
Br1 Br 0.1171 0.1329 0.6250
```

Principal peaks in the range 10° ≤ 2θ ≤ 90°, low angle first:
- 2θ 11.04, I 25, hkl 1 1 0
- 2θ 27.26, I 15, hkl 2 2 2
- 2θ 29.49, I 52, hkl 3 2 1
- 2θ 31.58, I 100, hkl 4 0 0
- 2θ 37.21, I 29, hkl 3 3 2
- 2θ 45.26, I 65, hkl 4 4 0
- 2θ 56.24, I 20, hkl 4 4 4
- 2θ 59.98, I 23, hkl 7 2 1
- 2θ 64.77, I 18, hkl 7 3 2
- 2θ 74.95, I 20, hkl 8 4 0

---

4.
# Y4BBr6
Theoretical powder diffractogram, CuKα. Input: DFT lattice parameters and positions (PBE).
Lines closer than 0.1° are merged.

Cell and atoms:
```
data_Y4BBr6
_space_group_name_H-M_alt 'C 1 2/c 1'
_space_group_IT_number 15
_cell_length_a 18.3184
_cell_length_b 11.3095
_cell_length_c 12.6470
_cell_angle_alpha 90.00
_cell_angle_beta 96.44
_cell_angle_gamma 90.00
loop_
_space_group_symop_operation_xyz
'x,y,z'
'-x,-y,-z'
'-x,y,-z+1/2'
'x,-y,z+1/2'
'x+1/2,y+1/2,z'
'-x+1/2,-y+1/2,-z'
'-x+1/2,y+1/2,-z+1/2'
'x+1/2,-y+1/2,z+1/2'
loop_
_atom_site_label
_atom_site_type_symbol
_atom_site_fract_x
_atom_site_fract_y
_atom_site_fract_z
Y1 Y 0.0298 0.1108 0.0877
Y2 Y 0.0361 0.3473 0.6046
Y3 Y 0.0906 0.1206 0.8084
Y4 Y 0.1635 0.1203 0.5465
B1 B 0.0363 0.1241 0.6056
Br1 Br 0.0363 0.3776 0.1034
Br2 Br 0.1046 0.3794 0.8191
Br3 Br 0.1082 0.1388 0.3153
Br4 Br 0.1763 0.1298 0.0256
Br5 Br 0.1805 0.3723 0.5336
Br6 Br 0.2387 0.1183 0.7483
```

Principal peaks in the range 10° ≤ 2θ ≤ 90°, low angle first:
- 2θ 31.14, I 87, hkl 2 0 4
- 2θ 31.27, I 85, hkl 6 0 -2
- 2θ 31.64, I 100, hkl 0 4 0
- 2θ 43.81, I 29, hkl 8 0 2
- 2θ 44.99, I 56, hkl 2 4 4
- 2θ 45.09, I 55, hkl 6 4 -2
- 2θ 45.60, I 28, hkl 4 0 -6
- 2θ 55.04, I 27, hkl 8 4 2
- 2θ 56.56, I 28, hkl 4 4 -6
- 2θ 74.90, I 19, hkl 2 8 4